(1)
Simulated X-ray diffraction stick pattern of NaTc4Sb12 for λ = 1.5418 Å (Cu Kα), from a cell relaxed with GGA-PBE.

Atomic structure:
Unit cell a=9.5114 b=9.5114 c=9.5114 alpha=90.00 beta=90.00 gamma=90.00
Space group Im-3 (No. 204)
Asymmetric unit:
Na 0.0000 0.0000 0.0000
Tc 0.2500 0.2500 0.2500
Sb 0.0000 0.3385 0.1583

Top 8 peaks for 2θ from 10° to 80°, by angle:
index	two_theta	I/Imax
2 0 0	18.66	12
3 0 1	29.70	100
3 1 2	35.31	37
4 2 0	42.50	35
4 2 2	46.79	27
4 3 1	48.82	25
5 3 0	56.41	17
6 1 3	66.70	18

***

(2)
Simulated X-ray diffraction stick pattern of Na2SbTe3 for λ = 1.5418 Å (Cu Kα), from a cell relaxed with GGA-PBE.

Atomic structure:
Unit cell a=6.3974 b=15.7543 c=16.8806 alpha=90.00 beta=90.00 gamma=90.00
Space group Cmce (No. 64)
Asymmetric unit:
Na 0.0000 0.0222 0.1490
Na 0.0000 0.1240 0.5414
Sb 0.0000 0.2384 0.3560
Te 0.0000 0.0513 0.3536
Te 0.0000 0.1575 0.9913
Te 0.2500 0.1446 0.7500

Top 8 peaks for 2θ from 10° to 80°, by angle:
index	two_theta	I/Imax
1 1 2	18.29	100
1 1 3	21.78	61
0 2 5	28.77	51
2 2 1	30.63	41
0 4 4	31.06	71
1 5 2	33.43	41
2 4 2	37.77	44
2 0 6	42.82	58

***

(3)
Simulated X-ray diffraction stick pattern of NaTl7Sb3 for λ = 1.5418 Å (Cu Kα), from a cell relaxed with GGA-PBE.

Atomic structure:
Unit cell a=18.0634 b=7.3294 c=10.8149 alpha=90.00 beta=90.00 gamma=90.00
Space group Cmcm (No. 63)
Asymmetric unit:
Na 0.0000 0.0000 0.0000
Tl 0.0000 0.3264 0.2500
Tl 0.1526 0.2528 0.5227
Tl 0.1964 0.4662 0.2500
Sb 0.0000 0.5000 0.0000
Sb 0.1300 0.0285 0.2500

Top 8 peaks for 2θ from 10° to 80°, by angle:
index	two_theta	I/Imax
5 1 0	27.53	50
0 2 2	29.44	98
6 0 0	29.67	63
2 2 2	31.10	95
5 1 2	32.20	35
0 0 4	33.13	83
4 2 2	35.66	100
6 0 4	45.07	34

***

(4)
Simulated X-ray diffraction stick pattern of NaTl14Sb for λ = 1.5418 Å (Cu Kα), from a cell relaxed with GGA-PBE.

Atomic structure:
Unit cell a=11.3630 b=7.0106 c=12.1498 alpha=90.00 beta=90.00 gamma=90.00
Space group Amm2 (No. 38)
Asymmetric unit:
Na 0.0000 0.0000 0.0000
Tl 0.0000 0.2414 0.2478
Tl 0.2440 0.2462 0.4195
Tl 0.2446 0.0000 0.6709
Tl 0.2558 0.0000 0.1687
Tl 0.5000 0.0000 0.3339
Tl 0.5000 0.0000 0.8383
Tl 0.5000 0.2472 0.5842
Sb 0.0000 0.0000 0.5051

Top 8 peaks for 2θ from 10° to 80°, by angle:
index	two_theta	I/Imax
1 0 4	30.47	34
4 0 0	31.49	32
2 2 2	33.46	100
3 0 4	37.98	19
0 4 0	52.17	24
6 2 2	57.34	21
4 4 0	62.23	28
2 0 8	63.41	16